# PrGa4Pd8
Computed X-ray diffraction stick pattern, Cu Kα, 1.54184 Å. Input: the PBE geometry in Alexandria.

Peak list (12 most intense, 5° ≤ 2θ ≤ 70°, low angle first)
d/Å  2θ/deg  Rel. int.  (hkl)
2.818  31.75  9  3 1 0
2.695  33.25  33  0 0 2
2.601  34.48  50  3 0 1
2.306  39.06  54  2 0 2
2.247  40.14  100  3 2 1
2.228  40.49  61  4 0 0
2.048  44.23  65  2 2 2
2.006  45.20  22  4 1 1
1.993  45.52  18  4 2 0
1.537  60.20  10  3 0 3
1.453  64.08  25  3 2 3
1.347  69.80  21  0 0 4

Crystal structure
```
data_PrGa4Pd8
_symmetry_space_group_name_H-M 'I 4/m m m'
_symmetry_Int_Tables_number 139
_symmetry_space_group_name_Hall '-I 4 2'
_cell_length_a 8.911
_cell_length_b 8.911
_cell_length_c 5.390
_cell_angle_alpha 90.00
_cell_angle_beta 90.00
_cell_angle_gamma 90.00
loop_
_atom_site_label
_atom_site_type_symbol
_atom_site_fract_x
_atom_site_fract_y
_atom_site_fract_z
_atom_site_occupancy
Pr1 Pr 0.000 0.000 0.000 1
Ga1 Ga 0.250 0.250 0.250 1
Pd1 Pd 0.000 0.224 0.500 1
Pd2 Pd 0.000 0.340 0.000 1
```